(1)
The following is a computed X-ray powder pattern of Tm3CoGe2. It was derived from a DFT-relaxed cell (PBE, Alexandria), using Cu Kα (λ = 1.5418 Å).
Kinematic intensities with the Lorentz-polarization factor, no thermal factor.

a = 11.3662 Å, b = 4.0870 Å, c = 10.9857 Å
α = 90.00°, β = 90.00°, γ = 90.00°
Space group Pnma (No. 62)
Unique sites:
Tm1 0.0549 0.2500 0.1298
Tm2 0.1208 0.7500 0.5544
Tm3 0.2261 0.2500 0.7960
Co1 0.1309 0.2500 0.3683
Ge1 0.0142 0.7500 0.3152
Ge2 0.1915 0.7500 0.9962

Main lines, sorted by position (2θ from 10° to 90°):
28.09 deg, d = 3.176 Å, I 51
28.62 deg, d = 3.119 Å, I 51
31.50 deg, d = 2.840 Å, I 61
32.84 deg, d = 2.727 Å, I 100
33.26 deg, d = 2.694 Å, I 39
33.57 deg, d = 2.670 Å, I 36
35.57 deg, d = 2.524 Å, I 35
36.26 deg, d = 2.478 Å, I 97
39.49 deg, d = 2.282 Å, I 50
44.33 deg, d = 2.043 Å, I 61


(2)
The following is a computed X-ray powder pattern of TmCo6Ge6. It was derived from a DFT-relaxed cell (PBE, Alexandria), using Cu Kα (λ = 1.5418 Å).
Kinematic intensities with the Lorentz-polarization factor, no thermal factor.

a = 5.0783 Å, b = 5.0783 Å, c = 7.8365 Å
α = 90.00°, β = 90.00°, γ = 120.00°
Space group P6/mmm (No. 191)
Unique sites:
Tm1 0.0000 0.0000 0.0000
Co1 0.0000 0.5000 0.2506
Ge1 0.0000 0.0000 0.3441
Ge2 0.3333 0.6667 0.0000
Ge3 0.3333 0.6667 0.5000

Main lines, sorted by position (2θ from 10° to 90°):
35.35 deg, d = 2.539 Å, I 71
40.15 deg, d = 2.246 Å, I 40
41.05 deg, d = 2.199 Å, I 56
42.42 deg, d = 2.131 Å, I 100
46.35 deg, d = 1.959 Å, I 24
47.41 deg, d = 1.918 Å, I 41
50.10 deg, d = 1.821 Å, I 21
68.32 deg, d = 1.373 Å, I 23
74.78 deg, d = 1.270 Å, I 30
83.18 deg, d = 1.161 Å, I 25


(3)
The following is a computed X-ray powder pattern of TmCo4Ge. It was derived from a DFT-relaxed cell (PBE, Alexandria), using Cu Kα (λ = 1.5418 Å).
Kinematic intensities with the Lorentz-polarization factor, no thermal factor.

a = 7.1024 Å, b = 3.6056 Å, c = 6.6240 Å
α = 90.00°, β = 90.00°, γ = 90.00°
Space group Pmma (No. 51)
Unique sites:
Tm1 0.2500 0.0000 0.1346
Co1 0.0000 0.0000 0.5000
Co2 0.0417 0.5000 0.7814
Co3 0.2500 0.5000 0.4537
Ge1 0.2500 0.0000 0.7181

Main lines, sorted by position (2θ from 10° to 90°):
29.76 deg, d = 3.002 Å, I 37
35.48 deg, d = 2.530 Å, I 55
38.07 deg, d = 2.364 Å, I 100
39.05 deg, d = 2.307 Å, I 96
40.87 deg, d = 2.208 Å, I 25
42.89 deg, d = 2.108 Å, I 33
45.09 deg, d = 2.011 Å, I 97
50.63 deg, d = 1.803 Å, I 45
51.47 deg, d = 1.776 Å, I 33
53.97 deg, d = 1.699 Å, I 25


(4)
The following is a computed X-ray powder pattern of Tm4Co7Ge6. It was derived from a DFT-relaxed cell (PBE, Alexandria), using Cu Kα (λ = 1.5418 Å).
Kinematic intensities with the Lorentz-polarization factor, no thermal factor.

a = 8.0500 Å, b = 8.0500 Å, c = 8.0500 Å
α = 90.00°, β = 90.00°, γ = 90.00°
Space group Im-3m (No. 229)
Unique sites:
Tm1 0.2500 0.2500 0.2500
Co1 0.0000 0.0000 0.0000
Co2 0.0000 0.2500 0.5000
Ge1 0.0000 0.0000 0.3247

Main lines, sorted by position (2θ from 10° to 90°):
22.08 deg, d = 4.025 Å, I 14
31.43 deg, d = 2.846 Å, I 57
38.75 deg, d = 2.324 Å, I 100
45.05 deg, d = 2.013 Å, I 58
47.95 deg, d = 1.897 Å, I 14
50.72 deg, d = 1.800 Å, I 20
65.60 deg, d = 1.423 Å, I 27
70.14 deg, d = 1.342 Å, I 16
74.56 deg, d = 1.273 Å, I 19
78.88 deg, d = 1.214 Å, I 24


(5)
The following is a computed X-ray powder pattern of Tm2Co3Ge4. It was derived from a DFT-relaxed cell (PBE, Alexandria), using Cu Kα (λ = 1.5418 Å).
Kinematic intensities with the Lorentz-polarization factor, no thermal factor.

a = 5.2639 Å, b = 9.1647 Å, c = 12.0273 Å
α = 90.00°, β = 90.00°, γ = 90.00°
Space group Fmmm (No. 69)
Unique sites:
Tm1 0.0000 0.0000 0.1314
Co1 0.0000 0.0000 0.5000
Co2 0.2500 0.2500 0.0000
Ge1 0.0000 0.1682 0.3459

Main lines, sorted by position (2θ from 10° to 90°):
29.69 deg, d = 3.009 Å, I 42
34.06 deg, d = 2.632 Å, I 36
34.76 deg, d = 2.581 Å, I 46
39.48 deg, d = 2.282 Å, I 19
40.91 deg, d = 2.206 Å, I 100
42.48 deg, d = 2.128 Å, I 17
45.82 deg, d = 1.980 Å, I 36
64.72 deg, d = 1.440 Å, I 17
65.63 deg, d = 1.423 Å, I 24
71.40 deg, d = 1.321 Å, I 16


(6)
The following is a computed X-ray powder pattern of U3Co6Ge5. It was derived from a DFT-relaxed cell (PBE, Alexandria), using Cu Kα (λ = 1.5418 Å).
Kinematic intensities with the Lorentz-polarization factor, no thermal factor.

a = 3.9438 Å, b = 12.4071 Å, c = 8.8168 Å
α = 90.00°, β = 90.00°, γ = 90.00°
Space group Pmmn (No. 59, origin choice 2)
Unique sites:
U1 0.2500 0.0659 0.2430
U2 0.2500 0.7500 0.2414
Co1 0.2500 0.0528 0.5999
Co2 0.2500 0.2500 0.0232
Co3 0.2500 0.2500 0.5260
Co4 0.2500 0.5859 0.9826
Ge1 0.2500 0.0917 0.8664
Ge2 0.2500 0.6325 0.5246
Ge3 0.2500 0.7500 0.8191

Main lines, sorted by position (2θ from 10° to 90°):
23.76 deg, d = 3.744 Å, I 24
24.73 deg, d = 3.600 Å, I 17
31.34 deg, d = 2.854 Å, I 26
37.54 deg, d = 2.396 Å, I 100
38.19 deg, d = 2.357 Å, I 35
40.95 deg, d = 2.204 Å, I 12
43.78 deg, d = 2.068 Å, I 14
46.03 deg, d = 1.972 Å, I 22
60.85 deg, d = 1.522 Å, I 12
75.96 deg, d = 1.253 Å, I 12


(7)
The following is a computed X-ray powder pattern of U3Co5Ge2. It was derived from a DFT-relaxed cell (PBE, Alexandria), using Cu Kα (λ = 1.5418 Å).
Kinematic intensities with the Lorentz-polarization factor, no thermal factor.

a = 10.7282 Å, b = 11.6804 Å, c = 5.3276 Å
α = 90.00°, β = 90.00°, γ = 90.00°
Space group Ibam (No. 72)
Unique sites:
U1 0.0000 0.0000 0.2500
U2 0.1758 0.3767 0.0000
Co1 0.0000 0.1942 0.2500
Co2 0.0000 0.5000 0.2500
Co3 0.0957 0.3463 0.5000
Ge1 0.1922 0.1245 0.0000

Main lines, sorted by position (2θ from 10° to 90°):
24.08 deg, d = 3.695 Å, I 41
24.76 deg, d = 3.596 Å, I 53
26.06 deg, d = 3.419 Å, I 90
33.03 deg, d = 2.712 Å, I 47
34.99 deg, d = 2.565 Å, I 93
35.57 deg, d = 2.524 Å, I 57
37.70 deg, d = 2.386 Å, I 98
38.36 deg, d = 2.347 Å, I 76
44.40 deg, d = 2.040 Å, I 43
46.12 deg, d = 1.968 Å, I 100


(8)
The following is a computed X-ray powder pattern of U2Co5Ge4. It was derived from a DFT-relaxed cell (PBE, Alexandria), using Cu Kα (λ = 1.5418 Å).
Kinematic intensities with the Lorentz-polarization factor, no thermal factor.

a = 5.3663 Å, b = 9.1231 Å, c = 13.9345 Å
α = 90.00°, β = 90.00°, γ = 90.00°
Space group Fmmm (No. 69)
Unique sites:
U1 0.0000 0.0000 0.1291
Co1 0.0000 0.0000 0.5000
Co2 0.2500 0.2500 0.0000
Co3 0.2500 0.2500 0.2500
Ge1 0.0000 0.1538 0.3686

Main lines, sorted by position (2θ from 10° to 90°):
25.57 deg, d = 3.484 Å, I 35
27.21 deg, d = 3.278 Å, I 47
32.34 deg, d = 2.769 Å, I 59
33.40 deg, d = 2.683 Å, I 31
34.51 deg, d = 2.599 Å, I 70
38.94 deg, d = 2.313 Å, I 54
39.19 deg, d = 2.299 Å, I 100
42.53 deg, d = 2.126 Å, I 85
47.38 deg, d = 1.919 Å, I 36
52.54 deg, d = 1.742 Å, I 30


(9)
The following is a computed X-ray powder pattern of V4Co2Ge. It was derived from a DFT-relaxed cell (PBE, Alexandria), using Cu Kα (λ = 1.5418 Å).
Kinematic intensities with the Lorentz-polarization factor, no thermal factor.

a = 4.4368 Å, b = 4.4368 Å, c = 11.6813 Å
α = 90.00°, β = 90.00°, γ = 90.00°
Space group I4/mmm (No. 139)
Unique sites:
V1 0.0000 0.0000 0.2067
V2 0.0000 0.5000 0.0000
Co1 0.0000 0.0000 0.3894
Ge1 0.0000 0.0000 0.0000

Main lines, sorted by position (2θ from 10° to 90°):
15.17 deg, d = 5.841 Å, I 49
28.45 deg, d = 3.137 Å, I 67
30.57 deg, d = 2.924 Å, I 19
32.39 deg, d = 2.764 Å, I 19
40.67 deg, d = 2.218 Å, I 100
43.65 deg, d = 2.074 Å, I 13
43.79 deg, d = 2.067 Å, I 85
58.87 deg, d = 1.569 Å, I 31
61.29 deg, d = 1.512 Å, I 58
76.18 deg, d = 1.250 Å, I 15


(10)
The following is a computed X-ray powder pattern of VCo6Ge. It was derived from a DFT-relaxed cell (PBE, Alexandria), using Cu Kα (λ = 1.5418 Å).
Kinematic intensities with the Lorentz-polarization factor, no thermal factor.

a = 7.0904 Å, b = 10.0403 Å, c = 10.0414 Å
α = 90.00°, β = 90.00°, γ = 90.00°
Space group Cmmm (No. 65)
Unique sites:
V1 0.0000 0.0000 0.2489
V2 0.0000 0.2429 0.5000
Co1 0.0000 0.0000 0.0000
Co2 0.0000 0.0000 0.5000
Co3 0.0000 0.2479 0.2530
Co4 0.0000 0.5000 0.0000
Co5 0.0000 0.5000 0.5000
Co6 0.2491 0.1259 0.3766
Co7 0.2497 0.1240 0.1267
Ge1 0.0000 0.2449 0.0000
Ge2 0.0000 0.5000 0.2510

Main lines, sorted by position (2θ from 10° to 90°):
44.21 deg, d = 2.049 Å, I 100
51.51 deg, d = 1.774 Å, I 46
75.83 deg, d = 1.255 Å, I 27


(11)
The following is a computed X-ray powder pattern of VCo4Ge. It was derived from a DFT-relaxed cell (PBE, Alexandria), using Cu Kα (λ = 1.5418 Å).
Kinematic intensities with the Lorentz-polarization factor, no thermal factor.

a = 6.9852 Å, b = 7.9907 Å, c = 6.2496 Å
α = 90.00°, β = 120.51°, γ = 90.00°
Space group C2/c (No. 15)
Unique sites:
V1 0.0000 0.0885 0.2500
Co1 0.1241 0.3616 0.4715
Co2 0.2081 0.1398 0.7860
Ge1 0.0000 0.3829 0.7500

Main lines, sorted by position (2θ from 10° to 90°):
18.46 deg, d = 4.807 Å, I 23
29.50 deg, d = 3.028 Å, I 20
33.28 deg, d = 2.692 Å, I 16
41.80 deg, d = 2.161 Å, I 30
45.40 deg, d = 1.998 Å, I 51
46.27 deg, d = 1.962 Å, I 32
47.25 deg, d = 1.924 Å, I 100
49.55 deg, d = 1.840 Å, I 49
52.50 deg, d = 1.743 Å, I 21
53.38 deg, d = 1.716 Å, I 31


(12)
The following is a computed X-ray powder pattern of V6Co6Ge. It was derived from a DFT-relaxed cell (PBE, Alexandria), using Cu Kα (λ = 1.5418 Å).
Kinematic intensities with the Lorentz-polarization factor, no thermal factor.

a = 4.6966 Å, b = 4.6966 Å, c = 8.3776 Å
α = 90.00°, β = 90.00°, γ = 120.00°
Space group P6/mmm (No. 191)
Unique sites:
V1 0.0000 0.0000 0.1468
V2 0.3333 0.6667 0.0000
V3 0.3333 0.6667 0.5000
Co1 0.0000 0.5000 0.2546
Ge1 0.0000 0.0000 0.5000

Main lines, sorted by position (2θ from 10° to 90°):
38.33 deg, d = 2.348 Å, I 35
39.13 deg, d = 2.302 Å, I 34
43.20 deg, d = 2.094 Å, I 41
44.22 deg, d = 2.048 Å, I 100
44.55 deg, d = 2.034 Å, I 71
48.92 deg, d = 1.862 Å, I 28
49.84 deg, d = 1.829 Å, I 88
73.40 deg, d = 1.290 Å, I 20
79.94 deg, d = 1.200 Å, I 24
82.08 deg, d = 1.174 Å, I 28